Theoretical powder X-ray diffraction pattern
Compound: NaH8Pd2Pt3
Radiation: Cu Kα (weighted mean of Kα1 and Kα2)
Structure: a cell relaxed with PBE

```
14
Lattice="2.8528 1.6471 4.8000 -2.8528 1.6471 4.8000 0.0000 -3.2942 4.8000" Properties=species:S:1:pos:R:3 pbc="T T T"
Na 0.0000 0.0000 0.0000
H 0.0000 -1.3011 3.9381
H -1.1268 0.6506 3.9381
H 0.0000 0.0000 2.1545
H -1.3292 -0.7674 6.6553
H 1.1268 0.6506 3.9381
H 1.3292 -0.7674 6.6553
H 0.0000 1.5349 6.6553
H 0.0000 0.0000 8.8828
Pd 0.0000 0.0000 5.3575
Pd 0.0000 0.0000 10.7329
Pt 0.0000 -1.6252 7.7490
Pt -1.4074 0.8126 7.7490
Pt 1.4074 0.8126 7.7491
```

Most intense lines, 2θ = 10–80°, in order of rising 2θ:
two_theta, I (rel.)
18.5, 63
19.0, 63
36.1, 41
36.6, 80
36.9, 78
37.5, 37
38.5, 100
44.5, 46
64.0, 33
65.4, 31

---

Theoretical powder X-ray diffraction pattern
Compound: La12Nd5Sm
Radiation: Cu Kα (weighted mean of Kα1 and Kα2)
Structure: a cell relaxed with PBE

```
18
Lattice="9.6438 -5.5554 0.0000 9.6438 5.5554 0.0000 -2.1332 0.0000 6.0757" Properties=species:S:1:pos:R:3 pbc="T T T"
La 6.0764 3.6889 1.0144
La 5.0071 1.8713 4.0517
La 9.6438 3.6938 0.0000
La 8.5772 1.8766 3.0378
La 11.0780 3.6889 5.0613
La 12.1473 1.8713 2.0240
La 5.0071 -1.8713 4.0517
La 6.0764 -3.6889 1.0144
La 8.5772 -1.8766 3.0378
La 9.6438 -3.6938 0.0000
La 12.1473 -1.8713 2.0240
La 11.0780 -3.6889 5.0613
Nd 2.4984 0.0000 2.0274
Nd 6.0726 0.0000 1.0150
Nd 9.6438 0.0000 0.0000
Nd 11.0818 0.0000 5.0606
Nd 14.6560 0.0000 4.0483
Sm -1.0666 0.0000 3.0378
```

Most intense lines, 2θ = 10–80°, in order of rising 2θ:
two_theta, I (rel.)
29.5, 100
34.1, 17
34.2, 34
49.1, 30
49.2, 6
58.2, 15
58.4, 29
61.2, 13
72.1, 4
79.6, 13

---

- Number 2 is which compound?
  La12Nd5Sm

---

- What is the formula in the second record?
  La12Nd5Sm